For CaMn4Ag4O16, a DFT-relaxed cell (PBE+U, Alexandria) gives the calculated powder diffraction line list in this record (Cu Kα (weighted mean of Kα1 and Kα2)).
Kinematic intensities with the Lorentz-polarization factor, no thermal factor.

Atomic structure:
Cell: 5.6226 8.4368 8.5683 Å, 82.56 89.21 81.10°
Sites, in units of the cell vectors:
Ca  0.0000  0.0000  0.0000
Mn  0.0500  0.1076  0.4093
Mn  0.0800  0.3512  0.9060
Mn  0.5282  0.5659  0.4895
Mn  0.5923  0.7983  0.9934
Ag  0.0172  0.5533  0.2381
Ag  0.5506  0.1362  0.6885
Ag  0.5905  0.3614  0.1517
Ag  0.9905  0.7501  0.6700
O  0.0381  0.4873  0.7488
O  0.0871  0.9919  0.2700
O  0.2194  0.4082  0.0605
O  0.2488  0.1733  0.8629
O  0.3025  0.7919  0.9640
O  0.3087  0.1410  0.4674
O  0.3529  0.7126  0.5583
O  0.3975  0.5191  0.3317
O  0.5721  0.4076  0.6202
O  0.6424  0.9103  0.1293
O  0.7351  0.8837  0.8318
O  0.7419  0.6095  0.0420
O  0.7861  0.6275  0.4383
O  0.8271  0.2665  0.9709
O  0.8860  0.2800  0.3403
O  0.9055  0.0221  0.5589

The 12 most intense peaks (10 to 90 degrees two-theta), low angle first:
6.347 Å, 2θ 13.95, intensity 320, hkl 0 1 1
5.572 Å, 2θ 15.91, intensity 574, hkl 0 1 -1
4.438 Å, 2θ 20.01, intensity 424, hkl 1 1 1
3.541 Å, 2θ 25.15, intensity 877, hkl 0 2 -1
3.354 Å, 2θ 26.58, intensity 1000, hkl 1 1 2
3.187 Å, 2θ 27.99, intensity 489, hkl 1 2 -1
3.142 Å, 2θ 28.41, intensity 805, hkl -1 1 2
2.923 Å, 2θ 30.59, intensity 235, hkl 1 -1 2
2.819 Å, 2θ 31.74, intensity 309, hkl 1 -2 1
2.777 Å, 2θ 32.23, intensity 469, hkl 2 0 0
2.607 Å, 2θ 34.40, intensity 252, hkl 1 3 1
2.344 Å, 2θ 38.40, intensity 234, hkl 2 2 -1